# 1
This entry pairs a crystal structure of Cs4Pr3YS8 with its calculated powder XRD pattern. Radiation: Cu Kα X-rays. Structure: a crystal structure in Alexandria, relaxed with PBE.
Neutral-atom scattering factors, no anomalous dispersion.

Cell and atoms:
a = 8.4847 Å, b = 8.4847 Å, c = 24.3050 Å
α = 90.00°, β = 90.00°, γ = 120.00°
Space group R-3m (No. 166, hexagonal axes)
One atom of each set of equivalent atoms:
Cs 0.0000 0.0000 0.0000 [3 per cell]
Cs 0.0000 0.5000 0.0000 [9 per cell]
Pr 0.0000 0.5000 0.5000 [9 per cell]
Y 0.0000 0.0000 0.5000 [3 per cell]
S 0.0000 0.0000 0.2296 [6 per cell]
S 0.0086 0.5043 0.2284 [18 per cell]

Largest 8 diffraction maxima, by angle, 2θ from 10° to 90°:
2θ (°), Rel. int.
21.94, 28
25.33, 49
28.39, 100
38.45, 37
42.62, 34
48.44, 21
52.01, 18
63.50, 19

# 2
This entry pairs a crystal structure of ZrMn2Be with its calculated powder XRD pattern. Radiation: Cu Kα X-rays. Structure: a crystal structure in Alexandria, relaxed with PBE.
Neutral-atom scattering factors, no anomalous dispersion.

Cell and atoms:
a = 3.655 Å, b = 3.800 Å, c = 8.077 Å
α = 90.00°, β = 90.00°, γ = 90.00°
Space group Imm2 (No. 44)
One atom of each set of equivalent atoms:
Zr 0.000 0.000 0.000 [2 per cell]
Mn 0.000 0.000 0.509 [2 per cell]
Mn 0.000 0.500 0.753 [2 per cell]
Be 0.000 0.500 0.247 [2 per cell]

Largest 8 diffraction maxima, by angle, 2θ from 10° to 90°:
2θ (°), Rel. int.
22.01, 22
25.91, 14
26.77, 15
34.03, 14
40.90, 100
44.89, 19
47.88, 15
49.90, 14

# 3
This entry pairs a crystal structure of KZnPt with its calculated powder XRD pattern. Radiation: Cu Kα X-rays. Structure: a crystal structure in Alexandria, relaxed with PBE.
Neutral-atom scattering factors, no anomalous dispersion.

Cell and atoms:
a = 7.845 Å, b = 5.839 Å, c = 7.185 Å
α = 90.00°, β = 90.16°, γ = 90.00°
Space group C2/m (No. 12)
One atom of each set of equivalent atoms:
K 0.249 0.000 0.160 [4 per cell]
Zn 0.250 0.000 0.596 [4 per cell]
Pt 0.000 0.250 0.500 [4 per cell]

Largest 8 diffraction maxima, by angle, 2θ from 10° to 90°:
2θ (°), Rel. int.
12.32, 100
24.78, 16
25.88, 17
31.38, 9
33.83, 12
38.44, 23
40.51, 23
46.28, 19

# 4
This entry pairs a crystal structure of Ni7Pt2W with its calculated powder XRD pattern. Radiation: Cu Kα X-rays. Structure: a crystal structure in Alexandria, relaxed with PBE.
Neutral-atom scattering factors, no anomalous dispersion.

Cell and atoms:
a = 6.542 Å, b = 12.945 Å, c = 3.624 Å
α = 90.00°, β = 90.00°, γ = 90.00°
Space group Cmmm (No. 65)
One atom of each set of equivalent atoms:
Ni 0.000 0.000 0.000 [2 per cell]
Ni 0.000 0.312 0.500 [4 per cell]
Ni 0.184 0.402 0.000 [8 per cell]
Pt 0.000 0.194 0.000 [4 per cell]
W 0.000 0.500 0.500 [2 per cell]

Largest 8 diffraction maxima, by angle, 2θ from 10° to 90°:
2θ (°), Rel. int.
24.56, 28
24.72, 30
27.27, 46
29.00, 54
39.64, 28
45.22, 100
49.28, 42
50.36, 26